For Li3Ni4SbO8, a structure optimized by DFT (GGA+U) gives the computed XRD peak list in this record (copper Kα).
Neutral-atom scattering factors, no anomalous dispersion.

The 12 most intense peaks (10° ≤ 2θ ≤ 90°), by angle:
18.07°, rel. 50; 18.14°, rel. 100; 34.71°, rel. 42; 35.33°, rel. 17; 36.45°, rel. 20; 36.61°, rel. 39; 36.76°, rel. 19; 42.13°, rel. 99; 43.30°, rel. 46; 61.10°, rel. 29; 61.79°, rel. 28; 62.22°, rel. 27

Cell lengths 5.970, 5.970, 6.067 Å; angles 120.13, 120.13, 61.07 degrees
Fractional coordinates of all 16 atoms:
Li 0.000 0.000 0.000
Li 0.000 0.500 0.500
Li 0.500 0.000 0.500
Ni 0.000 0.000 0.500
Ni 0.000 0.500 0.000
Ni 0.500 0.000 0.000
Ni 0.500 0.500 0.000
Sb 0.500 0.500 0.500
O 0.250 0.250 0.767
O 0.261 0.261 0.256
O 0.262 0.736 0.736
O 0.264 0.738 0.264
O 0.736 0.262 0.736
O 0.738 0.264 0.264
O 0.739 0.739 0.744
O 0.750 0.750 0.233